Entry 1:
Diffraction record for Li2Hg5Au. The powder X-ray diffraction pattern is theoretical, not measured: it uses a structure optimized by DFT (GGA-PBE) and Cu Kα (weighted mean of Kα1 and Kα2).
Intensities are scaled so that the largest is 100.

Structure:
```
data_Li2Hg5Au
_chemical_formula_sum 'Li8 Hg20 Au4'
_cell_length_a 3.7986
_cell_length_b 9.9647
_cell_length_c 18.3532
_cell_angle_alpha 90.00
_cell_angle_beta 90.00
_cell_angle_gamma 90.00
_space_group_name_H-M_alt 'C m c m'
_space_group_IT_number 63
_space_group_name_Hall '-C 2c 2'
loop_
_atom_site_label
_atom_site_fract_x
_atom_site_fract_y
_atom_site_fract_z
Li1 0.0000 0.2237 0.1609
Hg1 0.0000 0.0646 0.6026
Hg2 0.0000 0.3523 0.5421
Hg3 0.0000 0.4481 0.7500
Au1 0.0000 0.1669 0.7500
```

Largest 10 diffraction maxima, sorted by position, 2θ = 10–90°:
index  d/Å  two_theta  I (rel.)
1 1 1  3.485  25.56  95
0 0 6  3.059  29.20  50
1 1 4  2.807  31.88  90
1 1 5  2.552  35.17  76
1 3 1  2.478  36.26  45
1 3 2  2.412  37.27  100
0 2 7  2.319  38.84  72
0 4 3  2.307  39.04  77
2 0 0  1.899  47.89  40
2 4 3  1.466  63.44  38


Entry 2:
Diffraction record for Li9HgAu2. The powder X-ray diffraction pattern is theoretical, not measured: it uses a structure optimized by DFT (GGA-PBE) and Cu Kα (weighted mean of Kα1 and Kα2).
Intensities are scaled so that the largest is 100.

Structure:
```
data_Li9HgAu2
_chemical_formula_sum 'Li9 Hg1 Au2'
_cell_length_a 4.0240
_cell_length_b 4.0240
_cell_length_c 12.1621
_cell_angle_alpha 90.00
_cell_angle_beta 90.00
_cell_angle_gamma 90.00
_space_group_name_H-M_alt 'P 4/m m m'
_space_group_IT_number 123
_space_group_name_Hall '-P 4 2'
loop_
_atom_site_label
_atom_site_fract_x
_atom_site_fract_y
_atom_site_fract_z
Li1 0.0000 0.0000 0.0000
Li2 0.0000 0.0000 0.3393
Li3 0.0000 0.5000 0.1785
Li4 0.0000 0.5000 0.5000
Hg1 0.5000 0.5000 0.0000
Au1 0.5000 0.5000 0.3387
```

Largest 10 diffraction maxima, sorted by position, 2θ = 10–90°:
index  d/Å  two_theta  I (rel.)
0 0 3  4.054  21.92  51
1 0 0  4.024  22.09  100
1 0 3  2.856  31.32  85
1 1 0  2.845  31.44  42
1 1 3  2.329  38.66  60
2 0 0  2.012  45.06  20
1 0 6  1.810  50.41  23
2 1 0  1.801  50.69  46
2 1 3  1.645  55.90  34
2 1 6  1.346  69.90  17


Entry 3:
Diffraction record for Li2HgAu. The powder X-ray diffraction pattern is theoretical, not measured: it uses a structure optimized by DFT (GGA-PBE) and Cu Kα (weighted mean of Kα1 and Kα2).
Intensities are scaled so that the largest is 100.

Structure:
```
data_Li2HgAu
_chemical_formula_sum 'Li4 Hg2 Au2'
_cell_length_a 9.6302
_cell_length_b 3.2755
_cell_length_c 4.5789
_cell_angle_alpha 90.00
_cell_angle_beta 105.55
_cell_angle_gamma 90.00
_space_group_name_H-M_alt 'C 1 m 1'
_space_group_IT_number 8
_space_group_name_Hall 'C -2y'
loop_
_atom_site_label
_atom_site_fract_x
_atom_site_fract_y
_atom_site_fract_z
Li1 0.0000 0.0000 0.0000
Li2 0.2325 0.0000 0.6778
Hg1 0.4893 0.0000 0.4928
Au1 0.2314 0.5000 0.1655
```

Largest 10 diffraction maxima, sorted by position, 2θ = 10–90°:
index  d/Å  two_theta  I (rel.)
0 0 1  4.411  20.13  57
2 0 -1  3.736  23.82  100
1 1 0  3.089  28.91  95
2 0 1  2.839  31.51  57
1 1 1  2.430  36.99  99
4 0 0  2.319  38.83  46
3 1 0  2.249  40.10  33
2 0 -2  2.238  40.30  35
3 1 -1  2.183  41.36  76
1 1 -2  1.876  48.53  40